Diffraction record for Hg3N2Cl6. The X-ray diffraction stick pattern is theoretical, not measured: it uses a DFT-relaxed cell (PBE, the Materials Project) and λ = 1.5418 Å (Cu Kα).
Intensities are scaled so that the largest is 100.

Structural model:
```
Hg3N2Cl6
1.0
5.544 0.000 0.000
0.000 8.148 0.000
0.000 0.000 12.678
Hg N Cl
6 4 12
Cartesian
0.000 0.000 0.000
0.000 2.845 4.702
0.000 5.303 7.976
2.772 0.000 6.339
2.772 2.845 1.637
2.772 5.303 11.041
0.000 1.409 11.051
0.000 6.739 1.627
2.772 1.409 7.966
2.772 6.739 4.712
0.000 0.449 4.613
0.000 2.768 1.577
0.000 2.919 7.910
0.000 5.229 4.768
0.000 5.380 11.101
0.000 7.699 8.065
2.772 0.449 1.726
2.772 2.768 4.762
2.772 2.919 11.107
2.772 5.229 1.571
2.772 5.380 7.916
2.772 7.699 10.952
```

Main lines, by intensity (2θ from 10° to 90°):
two_theta	d [Å]	Rel. int.	(hkl)
20.61	4.310	100	1 1 1
26.52	3.361	76	1 0 3
12.92	6.854	75	0 1 1
32.30	2.772	56	2 0 0
28.12	3.174	45	0 0 4
42.81	2.112	45	1 3 3
23.96	3.714	42	1 1 2
32.98	2.716	39	0 3 0
30.26	2.954	35	0 1 4
46.83	1.940	32	2 3 0